This entry pairs a crystal structure of AlI4 with its calculated PXRD pattern. Radiation: Cu Kα, 1.54184 Å. Structure: a PBE-relaxed structure.
No peak broadening, texture or thermal motion is included.

Cell and atoms:
```
AlI4
1.0
9.204 0.000 0.000
0.000 9.204 0.000
0.000 0.000 5.772
Al I
2 8
Direct
0.000 0.000 0.000
0.500 0.500 0.500
0.002 0.230 0.249
0.230 0.998 0.751
0.270 0.498 0.749
0.498 0.730 0.251
0.502 0.270 0.251
0.730 0.502 0.749
0.770 0.002 0.751
0.998 0.770 0.249
```

Top 10 peaks for 2θ from 15° to 90°, by intensity:
2θ (°), intensity
24.74, 100
27.41, 33
46.87, 31
41.84, 26
39.15, 15
51.48, 13
30.99, 13
50.75, 11
66.53, 11
72.78, 8